# 1
Diffraction record for PrPu2Al2Ge2. The XRD peak list is simulated, not measured: it uses a structure optimized by DFT (PBE) and Cu Kα (weighted mean of Kα1 and Kα2).
Kinematic intensities with the Lorentz-polarization factor, no thermal factor.

Atomic structure:
```
data_PrPu2Al2Ge2
_symmetry_space_group_name_H-M 'P 1'
_symmetry_Int_Tables_number 1
_cell_length_a 9.7562
_cell_length_b 9.7562
_cell_length_c 9.7562
_cell_angle_alpha 25.11
_cell_angle_beta 25.11
_cell_angle_gamma 25.11
loop_
_symmetry_equiv_pos_as_xyz
'x,y,z'
loop_
_atom_site_label
_atom_site_type_symbol
_atom_site_fract_x
_atom_site_fract_y
_atom_site_fract_z
Pr1 Pr 0.0000 0.0000 0.0000
Pu1 Pu 0.1602 0.1602 0.1602
Pu2 Pu 0.8398 0.8398 0.8398
Al1 Al 0.4269 0.4269 0.4269
Al2 Al 0.5731 0.5731 0.5731
Ge1 Ge 0.2672 0.2672 0.2672
Ge2 Ge 0.7328 0.7328 0.7328
```

Most intense lines, 2θ from 10° to 80°, low angle first:
2theta	I (rel.)
18.79	56
24.44	55
32.93	100
38.12	22
42.64	81
46.97	34
52.00	21
54.90	24
58.51	39
71.91	21

# 2
Diffraction record for BaHfCu2Se4. The XRD peak list is simulated, not measured: it uses a structure optimized by DFT (PBE) and Cu Kα (weighted mean of Kα1 and Kα2).
Kinematic intensities with the Lorentz-polarization factor, no thermal factor.

Atomic structure:
```
data_BaHfCu2Se4
_symmetry_space_group_name_H-M 'P 1'
_symmetry_Int_Tables_number 1
_cell_length_a 6.7066
_cell_length_b 6.7066
_cell_length_c 6.7066
_cell_angle_alpha 122.87
_cell_angle_beta 107.30
_cell_angle_gamma 99.20
loop_
_symmetry_equiv_pos_as_xyz
'x,y,z'
loop_
_atom_site_label
_atom_site_type_symbol
_atom_site_fract_x
_atom_site_fract_y
_atom_site_fract_z
Ba1 Ba 0.0000 0.0000 0.0000
Hf1 Hf 0.5000 0.5000 0.0000
Cu1 Cu 0.3571 0.8571 0.5000
Cu2 Cu 0.6429 0.1429 0.5000
Se1 Se 0.1410 0.1034 0.5957
Se2 Se 0.4922 0.8966 0.0376
Se3 Se 0.5078 0.5454 0.4043
Se4 Se 0.8590 0.4546 0.9624
```

Most intense lines, 2θ from 10° to 80°, low angle first:
2theta	I (rel.)
15.10	45
17.77	32
27.20	100
28.34	27
30.47	38
34.76	34
35.98	63
42.36	27
45.54	50
48.83	23

# 3
Diffraction record for TbGa2Ni6. The XRD peak list is simulated, not measured: it uses a structure optimized by DFT (PBE) and Cu Kα (weighted mean of Kα1 and Kα2).
Kinematic intensities with the Lorentz-polarization factor, no thermal factor.

Atomic structure:
```
data_TbGa2Ni6
_symmetry_space_group_name_H-M 'P 1'
_symmetry_Int_Tables_number 1
_cell_length_a 7.4362
_cell_length_b 7.4362
_cell_length_c 7.4362
_cell_angle_alpha 60.00
_cell_angle_beta 60.00
_cell_angle_gamma 60.00
loop_
_symmetry_equiv_pos_as_xyz
'x,y,z'
loop_
_atom_site_label
_atom_site_type_symbol
_atom_site_fract_x
_atom_site_fract_y
_atom_site_fract_z
Tb1 Tb 0.1250 0.1250 0.1250
Tb2 Tb 0.8750 0.8750 0.8750
Ga1 Ga 0.0000 0.5000 0.5000
Ga2 Ga 0.5000 0.0000 0.5000
Ga3 Ga 0.5000 0.5000 0.0000
Ga4 Ga 0.5000 0.5000 0.5000
Ni1 Ni 0.1196 0.1196 0.6304
Ni2 Ni 0.1196 0.6304 0.1196
Ni3 Ni 0.1196 0.6304 0.6304
Ni4 Ni 0.3696 0.3696 0.8804
Ni5 Ni 0.3696 0.8804 0.3696
Ni6 Ni 0.3696 0.8804 0.8804
Ni7 Ni 0.6304 0.1196 0.1196
Ni8 Ni 0.6304 0.1196 0.6304
Ni9 Ni 0.6304 0.6304 0.1196
Ni10 Ni 0.8804 0.3696 0.3696
Ni11 Ni 0.8804 0.3696 0.8804
Ni12 Ni 0.8804 0.8804 0.3696
```

Most intense lines, 2θ from 10° to 80°, low angle first:
2theta	I (rel.)
28.14	65
29.42	13
34.10	48
44.78	28
49.00	100
57.46	9
61.05	11
68.54	14
71.81	15
78.82	9

# 4
Diffraction record for Zr2TlCr. The XRD peak list is simulated, not measured: it uses a structure optimized by DFT (PBE) and Cu Kα (weighted mean of Kα1 and Kα2).
Kinematic intensities with the Lorentz-polarization factor, no thermal factor.

Atomic structure:
```
data_Zr2TlCr
_symmetry_space_group_name_H-M 'P 1'
_symmetry_Int_Tables_number 1
_cell_length_a 3.2496
_cell_length_b 4.7623
_cell_length_c 5.4849
_cell_angle_alpha 90.00
_cell_angle_beta 97.49
_cell_angle_gamma 90.00
loop_
_symmetry_equiv_pos_as_xyz
'x,y,z'
loop_
_atom_site_label
_atom_site_type_symbol
_atom_site_fract_x
_atom_site_fract_y
_atom_site_fract_z
Zr1 Zr 0.0000 0.0000 0.0000
Zr2 Zr 0.1921 0.5000 0.6624
Tl1 Tl 0.6228 0.0000 0.4687
Cr1 Cr 0.5894 0.5000 0.1390
```

Most intense lines, 2θ from 10° to 80°, low angle first:
2theta	I (rel.)
16.30	29
18.63	34
24.85	23
33.58	32
34.15	37
35.85	100
37.78	56
38.11	87
39.18	52
68.45	29